This entry pairs a crystal structure of YHo2Sn2 with its computed PXRD pattern. Radiation: CuKα. Structure: a cell relaxed with GGA-PBE.

The 10 most intense peaks (10° ≤ 2θ ≤ 90°), in order of rising 2θ:
- 2θ = 32.44°, rel. 100
- 2θ = 34.47°, rel. 30
- 2θ = 34.59°, rel. 60
- 2θ = 48.02°, rel. 22
- 2θ = 48.29°, rel. 11
- 2θ = 56.42°, rel. 12
- 2θ = 60.52°, rel. 23
- 2θ = 60.68°, rel. 11
- 2θ = 61.83°, rel. 12
- 2θ = 78.35°, rel. 9

Atomic structure:
```
5
Lattice="4.487 -2.602 0.000 4.487 2.602 0.000 -2.966 0.000 5.827" Properties=species:S:1:pos:R:3 pbc="T T T"
Y 0.000 0.000 0.000
Ho 0.016 0.000 3.645
Ho 5.991 0.000 2.183
Sn 2.993 0.000 1.310
Sn 3.015 0.000 4.518
```